Theoretical X-ray diffraction stick pattern
Compound: Bi4I
Radiation: Cu Kα (λ = 1.5418 Å)
Structure: DFT lattice parameters and positions (PBE)
Kinematic intensities with the Lorentz-polarization factor, no thermal factor.

Atomic structure:
```
data_Bi4I
_chemical_formula_sum 'Bi8 I2'
_cell_length_a 7.040
_cell_length_b 4.566
_cell_length_c 12.594
_cell_angle_alpha 90.00
_cell_angle_beta 104.91
_cell_angle_gamma 90.00
_symmetry_space_group_name_H-M 'P 1 21/c 1'
_symmetry_Int_Tables_number 14
loop_
_symmetry_equiv_pos_as_xyz
'x,y,z'
'-x,-y,-z'
'-x,y+1/2,-z+1/2'
'x,-y+1/2,z+1/2'
loop_
_atom_site_label
_atom_site_fract_x
_atom_site_fract_y
_atom_site_fract_z
_atom_site_occupancy
Bi1 0.060 0.083 0.130 1
Bi2 0.299 0.592 0.271 1
I1 0.500 0.000 0.500 1
```

Peak list (12 most intense, 2θ = 10–80°, low angle first)
14.6 deg, I 48, (0 0 2); 25.6 deg, I 100, (1 1 1); 26.5 deg, I 85, (2 0 -2); 29.5 deg, I 63, (0 1 3); 29.5 deg, I 30, (1 1 2); 34.1 deg, I 29, (2 0 -4); 34.6 deg, I 33, (1 1 3); 35.1 deg, I 28, (2 1 1); 35.3 deg, I 43, (1 0 4); 40.2 deg, I 39, (0 2 1); 43.4 deg, I 39, (3 1 -1); 50.1 deg, I 35, (2 2 -3)

Theoretical X-ray diffraction stick pattern
Compound: Tb8Nd3Y
Radiation: Cu Kα (λ = 1.5418 Å)
Structure: DFT lattice parameters and positions (PBE)
Kinematic intensities with the Lorentz-polarization factor, no thermal factor.

Atomic structure:
```
data_Tb8Nd3Y
_chemical_formula_sum 'Tb16 Nd6 Y2'
_cell_length_a 10.146
_cell_length_b 10.179
_cell_length_c 8.028
_cell_angle_alpha 90.00
_cell_angle_beta 108.40
_cell_angle_gamma 90.00
_symmetry_space_group_name_H-M 'C 1 m 1'
_symmetry_Int_Tables_number 8
loop_
_symmetry_equiv_pos_as_xyz
'x,y,z'
'x,-y,z'
'x+1/2,y+1/2,z'
'x+1/2,-y+1/2,z'
loop_
_atom_site_label
_atom_site_fract_x
_atom_site_fract_y
_atom_site_fract_z
_atom_site_occupancy
Tb1 0.000 0.000 0.000 1
Tb2 0.002 0.500 0.000 1
Tb3 0.084 0.251 0.334 1
Tb4 0.167 0.500 0.664 1
Tb5 0.333 0.500 0.333 1
Tb6 0.417 0.250 0.664 1
Nd1 0.167 0.000 0.666 1
Nd2 0.251 0.251 0.999 1
Y1 0.335 0.000 0.333 1
```

Peak list (10 most intense, 2θ = 10–80°, low angle first)
12.7 deg, I 1, (1 1 0); 30.5 deg, I 100, (2 2 1); 35.3 deg, I 34, (0 4 0); 35.4 deg, I 17, (4 0 -1); 50.8 deg, I 36, (4 0 2); 60.3 deg, I 14, (2 6 1); 60.5 deg, I 28, (6 2 0); 63.4 deg, I 12, (4 4 2); 74.6 deg, I 2, (0 8 0); 74.8 deg, I 4, (0 0 6)

Theoretical X-ray diffraction stick pattern
Compound: Er2Nb2N3
Radiation: Cu Kα (λ = 1.5418 Å)
Structure: DFT lattice parameters and positions (PBE)
Kinematic intensities with the Lorentz-polarization factor, no thermal factor.

Atomic structure:
```
data_Er2Nb2N3
_chemical_formula_sum 'Er4 Nb4 N6'
_cell_length_a 11.215
_cell_length_b 3.322
_cell_length_c 5.627
_cell_angle_alpha 90.00
_cell_angle_beta 107.58
_cell_angle_gamma 90.00
_symmetry_space_group_name_H-M 'C 1 2/m 1'
_symmetry_Int_Tables_number 12
loop_
_symmetry_equiv_pos_as_xyz
'x,y,z'
'-x,-y,-z'
'-x,y,-z'
'x,-y,z'
'x+1/2,y+1/2,z'
'-x+1/2,-y+1/2,-z'
'-x+1/2,y+1/2,-z'
'x+1/2,-y+1/2,z'
loop_
_atom_site_label
_atom_site_fract_x
_atom_site_fract_y
_atom_site_fract_z
_atom_site_occupancy
Er1 0.115 0.000 0.346 1
Nb1 0.148 0.500 0.851 1
N1 0.000 0.500 0.500 1
N2 0.249 0.500 0.252 1
```

Peak list (12 most intense, 2θ = 10–80°, low angle first)
26.9 deg, I 15, (2 0 1); 32.5 deg, I 61, (2 0 -2); 33.5 deg, I 46, (4 0 0); 34.1 deg, I 100, (1 1 1); 37.3 deg, I 98, (3 1 -1); 42.0 deg, I 35, (2 0 2); 55.3 deg, I 18, (0 2 0); 56.8 deg, I 24, (1 1 -3); 58.1 deg, I 24, (5 1 1); 65.6 deg, I 17, (2 2 -2); 66.2 deg, I 16, (4 2 0); 71.8 deg, I 15, (2 2 2)

Theoretical X-ray diffraction stick pattern
Compound: CdGaPt5
Radiation: Cu Kα (λ = 1.5418 Å)
Structure: DFT lattice parameters and positions (PBE)
Kinematic intensities with the Lorentz-polarization factor, no thermal factor.

Atomic structure:
```
data_CdGaPt5
_chemical_formula_sum 'Cd1 Ga1 Pt5'
_cell_length_a 3.992
_cell_length_b 3.992
_cell_length_c 7.394
_cell_angle_alpha 90.00
_cell_angle_beta 90.00
_cell_angle_gamma 90.00
_symmetry_space_group_name_H-M 'P 4/m m m'
_symmetry_Int_Tables_number 123
_symmetry_space_group_name_Hall '-P 4 2'
loop_
_atom_site_label
_atom_site_fract_x
_atom_site_fract_y
_atom_site_fract_z
_atom_site_occupancy
Cd1 0.000 0.000 0.000 1
Ga1 0.500 0.500 0.500 1
Pt1 0.000 0.500 0.282 1
Pt2 0.500 0.500 0.000 1
```

Peak list (12 most intense, 2θ = 10–80°, low angle first)
24.1 deg, I 8, (0 0 2); 31.7 deg, I 12, (1 1 0); 34.0 deg, I 20, (1 1 1); 36.5 deg, I 12, (0 0 3); 40.2 deg, I 100, (1 1 2); 45.4 deg, I 39, (2 0 0); 49.3 deg, I 10, (0 0 4); 59.6 deg, I 12, (2 0 3); 66.2 deg, I 13, (2 2 0); 69.3 deg, I 14, (2 0 4); 72.1 deg, I 12, (1 1 5); 78.0 deg, I 6, (2 2 3)

Theoretical X-ray diffraction stick pattern
Compound: LuTa5Ag2O15
Radiation: Cu Kα (λ = 1.5418 Å)
Structure: DFT lattice parameters and positions (PBE)
Kinematic intensities with the Lorentz-polarization factor, no thermal factor.

Atomic structure:
```
data_LuTa5Ag2O15
_chemical_formula_sum 'Lu2 Ta10 Ag4 O30'
_cell_length_a 12.575
_cell_length_b 12.575
_cell_length_c 3.916
_cell_angle_alpha 90.00
_cell_angle_beta 90.00
_cell_angle_gamma 90.00
_symmetry_space_group_name_H-M 'P 4/m b m'
_symmetry_Int_Tables_number 127
_symmetry_space_group_name_Hall '-P 4 2ab'
loop_
_atom_site_label
_atom_site_fract_x
_atom_site_fract_y
_atom_site_fract_z
_atom_site_occupancy
Lu1 0.000 0.000 0.000 1
Ta1 0.000 0.500 0.500 1
Ta2 0.080 0.209 0.500 1
Ag1 0.163 0.663 0.000 1
O1 0.000 0.500 0.000 1
O2 0.001 0.659 0.500 1
O3 0.057 0.870 0.500 1
O4 0.078 0.185 0.000 1
O5 0.223 0.277 0.500 1
```

Peak list (12 most intense, 2θ = 10–80°, low angle first)
22.7 deg, I 25, (0 0 1); 25.5 deg, I 42, (3 2 0); 27.8 deg, I 50, (2 1 1); 29.3 deg, I 60, (4 1 0); 30.4 deg, I 20, (2 2 1); 31.8 deg, I 43, (4 2 0); 32.1 deg, I 100, (3 1 1); 34.4 deg, I 24, (3 2 1); 45.6 deg, I 19, (6 2 0); 46.4 deg, I 26, (0 0 2); 55.8 deg, I 20, (4 1 2); 56.9 deg, I 40, (5 5 1)

Theoretical X-ray diffraction stick pattern
Compound: Pa3Co2Pt
Radiation: Cu Kα (λ = 1.5418 Å)
Structure: DFT lattice parameters and positions (PBE)
Kinematic intensities with the Lorentz-polarization factor, no thermal factor.

Atomic structure:
```
data_Pa3Co2Pt
_chemical_formula_sum 'Pa18 Co12 Pt6'
_cell_length_a 7.0109
_cell_length_b 7.0109
_cell_length_c 17.6642
_cell_angle_alpha 90.00
_cell_angle_beta 90.00
_cell_angle_gamma 120.00
_symmetry_space_group_name_H-M 'R -3 c'
_symmetry_Int_Tables_number 167
_symmetry_space_group_name_Hall '-R 3 2"c'
loop_
_atom_site_label
_atom_site_fract_x
_atom_site_fract_y
_atom_site_fract_z
_atom_site_occupancy
Pa1 0.0000 0.2944 0.2500 1
Co1 0.0000 0.0000 0.1522 1
Pt1 0.0000 0.0000 0.0000 1
```

Peak list (12 most intense, 2θ = 10–80°, low angle first)
24.9 deg, I 9, (1 0 4); 29.7 deg, I 100, (1 1 3); 31.2 deg, I 14, (2 0 2); 39.6 deg, I 9, (2 1 1); 40.0 deg, I 56, (1 1 6); 40.6 deg, I 8, (1 2 2); 44.8 deg, I 42, (3 0 0); 53.5 deg, I 20, (1 1 9); 54.6 deg, I 12, (2 2 3); 61.6 deg, I 14, (2 2 6); 73.2 deg, I 8, (4 1 3); 79.3 deg, I 9, (4 1 6)

Theoretical X-ray diffraction stick pattern
Compound: MnPW2
Radiation: Cu Kα (λ = 1.5418 Å)
Structure: DFT lattice parameters and positions (PBE)
Kinematic intensities with the Lorentz-polarization factor, no thermal factor.

Atomic structure:
```
data_MnPW2
_chemical_formula_sum 'Mn1 P1 W2'
_cell_length_a 2.953
_cell_length_b 3.365
_cell_length_c 5.816
_cell_angle_alpha 90.00
_cell_angle_beta 99.98
_cell_angle_gamma 90.00
_symmetry_space_group_name_H-M 'P 1 2/m 1'
_symmetry_Int_Tables_number 10
loop_
_symmetry_equiv_pos_as_xyz
'x,y,z'
'-x,-y,-z'
'-x,y,-z'
'x,-y,z'
loop_
_atom_site_label
_atom_site_fract_x
_atom_site_fract_y
_atom_site_fract_z
_atom_site_occupancy
Mn1 0.000 0.000 0.000 1
P1 0.000 0.000 0.500 1
W1 0.417 0.500 0.741 1
```

Peak list (12 most intense, 2θ = 10–80°, low angle first)
26.5 deg, I 61, (0 1 0); 30.8 deg, I 31, (1 0 0); 31.2 deg, I 40, (0 0 2); 37.0 deg, I 17, (1 0 1); 40.2 deg, I 48, (1 0 -2); 41.0 deg, I 83, (1 1 0); 41.4 deg, I 100, (0 1 2); 42.0 deg, I 17, (1 1 -1); 48.3 deg, I 23, (1 0 2); 48.8 deg, I 20, (1 1 -2); 54.5 deg, I 22, (0 2 0); 69.9 deg, I 19, (1 2 -2)

Theoretical X-ray diffraction stick pattern
Compound: RbAlC
Radiation: Cu Kα (λ = 1.5418 Å)
Structure: DFT lattice parameters and positions (PBE)
Kinematic intensities with the Lorentz-polarization factor, no thermal factor.

Atomic structure:
```
data_RbAlC
_chemical_formula_sum 'Rb2 Al2 C2'
_cell_length_a 3.719
_cell_length_b 3.719
_cell_length_c 11.143
_cell_angle_alpha 90.00
_cell_angle_beta 90.16
_cell_angle_gamma 90.00
_symmetry_space_group_name_H-M 'P 1 21/m 1'
_symmetry_Int_Tables_number 11
loop_
_symmetry_equiv_pos_as_xyz
'x,y,z'
'-x,-y,-z'
'-x,y+1/2,-z'
'x,-y+1/2,z'
loop_
_atom_site_label
_atom_site_fract_x
_atom_site_fract_y
_atom_site_fract_z
_atom_site_occupancy
Rb1 0.248 0.250 0.240 1
Al1 0.250 0.750 0.500 1
C1 0.251 0.250 0.581 1
```

Peak list (12 most intense, 2θ = 10–80°, low angle first)
15.9 deg, I 29, (0 0 2); 24.0 deg, I 9, (0 0 3); 25.2 deg, I 100, (1 0 -1); 32.1 deg, I 23, (0 0 4); 34.1 deg, I 81, (1 0 -3); 37.8 deg, I 60, (1 1 -2); 47.5 deg, I 19, (1 0 -5); 49.0 deg, I 21, (2 0 0); 55.9 deg, I 22, (2 1 -1); 59.8 deg, I 11, (2 0 -4); 61.0 deg, I 25, (1 1 -6); 61.1 deg, I 14, (1 1 6)